This entry pairs a crystal structure of Li2V3CrO8 with its theoretical PXRD pattern. Radiation: CuKα. Structure: a crystal structure in Alexandria, relaxed with GGA+U.

Largest 10 diffraction maxima, low angle first, 2θ from 10° to 90°:
2θ/deg, d [Å], intensity, hkl
14.25, 6.215, 92.1, 0 0 1
15.21, 5.826, 67.0, 2 0 0
23.38, 3.805, 100.0, 1 1 0
28.72, 3.108, 71.2, 0 0 2
29.82, 2.997, 36.6, 4 0 -1
32.02, 2.795, 35.9, 3 1 0
32.23, 2.778, 40.0, 3 1 -1
43.70, 2.072, 47.5, 0 0 3
44.62, 2.031, 60.0, 6 0 -1
45.04, 2.013, 65.7, 0 2 0

Crystal structure
```
data_Li2V3CrO8
_cell_length_a 12.187
_cell_length_b 4.026
_cell_length_c 6.500
_cell_angle_alpha 90.00
_cell_angle_beta 107.03
_cell_angle_gamma 90.00
_symmetry_space_group_name_H-M 'C 1 m 1'
_symmetry_Int_Tables_number 8
loop_
_symmetry_equiv_pos_as_xyz
'x,y,z'
'x,-y,z'
'x+1/2,y+1/2,z'
'x+1/2,-y+1/2,z'
loop_
_atom_site_label
_atom_site_type_symbol
_atom_site_fract_x
_atom_site_fract_y
_atom_site_fract_z
_atom_site_occupancy
Li1 Li 0.000 0.000 0.000 1
Li2 Li 0.114 0.000 0.709 1
V1 V 0.168 0.500 0.075 1
V2 V 0.270 0.500 0.664 1
V3 V 0.450 0.000 0.633 1
Cr1 Cr 0.346 0.000 0.044 1
O1 O 0.118 0.500 0.711 1
O2 O 0.178 0.000 0.030 1
O3 O 0.206 0.500 0.347 1
O4 O 0.291 0.000 0.705 1
O5 O 0.325 0.500 0.009 1
O6 O 0.408 0.000 0.358 1
O7 O 0.440 0.500 0.674 1
O8 O 0.498 0.000 0.985 1
```